No. 1
This entry pairs a crystal structure of Al2CuTc with its simulated powder diffractogram. Radiation: Cu Kα X-rays. Structure: a crystal structure in Alexandria, relaxed with PBE.

Principal peaks in the range 2θ from 15° to 90°, sorted by position:
| 2θ/deg | I/Imax |
| --- | --- |
| 27.65 | 21 |
| 30.75 | 32 |
| 41.83 | 100 |
| 44.05 | 43 |
| 52.80 | 13 |
| 64.05 | 13 |
| 74.82 | 17 |
| 79.47 | 28 |

Cell and atoms:
a = 4.1116 Å, b = 4.1116 Å, c = 3.2259 Å
α = 90.00°, β = 90.00°, γ = 90.00°
Space group P4/mmm (No. 123)
One atom of each set of equivalent atoms:
Al 0.0000 0.5000 0.0000 [2 per cell]
Cu 0.0000 0.0000 0.5000 [1 per cell]
Tc 0.5000 0.5000 0.5000 [1 per cell]

***

No. 2
This entry pairs a crystal structure of BaZn2Si with its simulated powder diffractogram. Radiation: Cu Kα X-rays. Structure: a crystal structure in Alexandria, relaxed with PBE.

Principal peaks in the range 2θ from 15° to 90°, sorted by position:
| 2θ/deg | I/Imax |
| --- | --- |
| 23.64 | 100 |
| 26.93 | 91 |
| 31.99 | 47 |
| 36.87 | 31 |
| 39.91 | 51 |
| 40.91 | 29 |
| 41.49 | 28 |
| 55.52 | 42 |

Cell and atoms:
a = 5.0972 Å, b = 5.0972 Å, c = 16.7351 Å
α = 90.00°, β = 90.00°, γ = 90.00°
Space group I4_1/amd (No. 141, origin choice 2)
One atom of each set of equivalent atoms:
Ba 0.0000 0.2500 0.3750 [4 per cell]
Zn 0.0000 0.0000 0.0000 [8 per cell]
Si 0.0000 0.2500 0.8750 [4 per cell]

***

No. 3
This entry pairs a crystal structure of La3AlCrS7 with its simulated powder diffractogram. Radiation: Cu Kα X-rays. Structure: a crystal structure in Alexandria, relaxed with PBE.

Principal peaks in the range 2θ from 15° to 90°, sorted by position:
| 2θ/deg | I/Imax |
| --- | --- |
| 17.70 | 44 |
| 24.89 | 100 |
| 26.64 | 42 |
| 33.77 | 42 |
| 35.84 | 44 |
| 39.59 | 50 |
| 40.08 | 39 |
| 49.50 | 49 |

Cell and atoms:
a = 10.2216 Å, b = 10.2216 Å, c = 6.0784 Å
α = 90.00°, β = 90.00°, γ = 120.00°
Space group P6_3 (No. 173)
One atom of each set of equivalent atoms:
La 0.1384 0.3738 0.0000 [6 per cell]
Al 0.3333 0.6667 0.4199 [2 per cell]
Cr 0.0000 0.0000 0.2916 [2 per cell]
S 0.0853 0.2277 0.5437 [6 per cell]
S 0.1015 0.5838 0.2738 [6 per cell]
S 0.3333 0.6667 0.7863 [2 per cell]